1.
The following is a simulated PXRD pattern of LaTb2Nd6Sm. It was derived from DFT lattice parameters and positions (PBE), using a wavelength of 1.5418 Å.
No peak broadening, texture or thermal motion is included.

Peak list (8 most intense, 2θ = 15–90°, by angle)
two_theta	d [Å]	I (rel.)
27.9	3.196	411
29.8	3.000	1000
30.6	2.924	383
30.8	2.905	991
31.5	2.837	292
32.8	2.727	390
37.2	2.418	186
51.9	1.763	207

Crystal structure
```
data_LaTb2Nd6Sm
_chemical_formula_sum 'La4 Tb8 Nd24 Sm4'
_symmetry_space_group_name_H-M 'C 1 2/c 1'
_symmetry_Int_Tables_number 15
_symmetry_space_group_name_Hall '-C 2yc'
_cell_length_a 9.316
_cell_length_b 15.415
_cell_length_c 9.870
_cell_angle_alpha 90.00
_cell_angle_beta 98.22
_cell_angle_gamma 90.00
loop_
_atom_site_label
_atom_site_fract_x
_atom_site_fract_y
_atom_site_fract_z
La1 0.000 0.095 0.250
Tb1 0.243 0.451 0.045
Nd1 0.066 0.322 0.444
Nd2 0.098 0.107 0.621
Nd3 0.206 0.274 0.818
Sm1 0.000 0.471 0.750
```

=====

2.
The following is a simulated PXRD pattern of LaTbNd2Sm. It was derived from DFT lattice parameters and positions (PBE), using a wavelength of 1.5418 Å.
No peak broadening, texture or thermal motion is included.

Peak list (8 most intense, 2θ = 15–90°, by angle)
two_theta	d [Å]	I (rel.)
27.6	3.230	803
28.3	3.157	603
28.9	3.088	923
29.7	3.007	1000
31.4	2.850	420
31.8	2.815	617
34.1	2.632	506
43.0	2.106	446

Crystal structure
```
data_LaTbNd2Sm
_chemical_formula_sum 'La2 Tb2 Nd4 Sm2'
_symmetry_space_group_name_H-M 'P 1 2/c 1'
_symmetry_Int_Tables_number 13
_symmetry_space_group_name_Hall '-P 2yc'
_cell_length_a 8.539
_cell_length_b 6.630
_cell_length_c 6.346
_cell_angle_alpha 90.00
_cell_angle_beta 95.69
_cell_angle_gamma 90.00
loop_
_atom_site_label
_atom_site_fract_x
_atom_site_fract_y
_atom_site_fract_z
La1 0.000 0.000 0.000
Tb1 0.500 0.164 0.250
Nd1 0.311 0.312 0.717
Sm1 0.000 0.435 0.250
```

=====

3.
The following is a simulated PXRD pattern of La6TbNdSm2. It was derived from DFT lattice parameters and positions (PBE), using a wavelength of 1.5418 Å.
No peak broadening, texture or thermal motion is included.

Peak list (8 most intense, 2θ = 15–90°, by angle)
two_theta	d [Å]	I (rel.)
27.0	3.303	321
29.4	3.037	551
30.2	2.957	1000
30.3	2.951	724
31.0	2.883	423
31.5	2.838	448
31.8	2.817	359
32.5	2.751	365

Crystal structure
```
data_La6TbNdSm2
_chemical_formula_sum 'La12 Tb2 Nd2 Sm4'
_symmetry_space_group_name_H-M 'C 1 2/m 1'
_symmetry_Int_Tables_number 12
_symmetry_space_group_name_Hall '-C 2y'
_cell_length_a 11.532
_cell_length_b 7.008
_cell_length_c 9.319
_cell_angle_alpha 90.00
_cell_angle_beta 107.55
_cell_angle_gamma 90.00
loop_
_atom_site_label
_atom_site_fract_x
_atom_site_fract_y
_atom_site_fract_z
La1 0.129 0.000 0.422
La2 0.198 0.267 0.806
Tb1 0.000 0.000 0.000
Nd1 0.000 0.500 0.500
Sm1 0.073 0.500 0.170
```

=====

4.
The following is a simulated PXRD pattern of La2NdSmTh. It was derived from DFT lattice parameters and positions (PBE), using a wavelength of 1.5418 Å.
No peak broadening, texture or thermal motion is included.

Peak list (8 most intense, 2θ = 15–90°, by angle)
two_theta	d [Å]	I (rel.)
27.8	3.213	267
30.0	2.983	409
31.6	2.829	1000
31.8	2.815	550
41.3	2.186	186
54.2	1.691	220
54.3	1.688	122
58.5	1.578	114

Crystal structure
```
data_La2NdSmTh
_chemical_formula_sum 'La4 Nd2 Sm2 Th2'
_symmetry_space_group_name_H-M 'P 1 21/m 1'
_symmetry_Int_Tables_number 11
_symmetry_space_group_name_Hall '-P 2yb'
_cell_length_a 6.387
_cell_length_b 5.967
_cell_length_c 9.819
_cell_angle_alpha 90.00
_cell_angle_beta 108.83
_cell_angle_gamma 90.00
loop_
_atom_site_label
_atom_site_fract_x
_atom_site_fract_y
_atom_site_fract_z
La1 0.069 0.250 0.317
La2 0.135 0.750 0.110
Nd1 0.477 0.250 0.105
Sm1 0.264 0.250 0.692
Th1 0.357 0.750 0.504
```

=====

5.
The following is a simulated PXRD pattern of La6NdSmTm2. It was derived from DFT lattice parameters and positions (PBE), using a wavelength of 1.5418 Å.
No peak broadening, texture or thermal motion is included.

Peak list (8 most intense, 2θ = 15–90°, by angle)
two_theta	d [Å]	I (rel.)
27.0	3.305	265
28.0	3.192	555
29.5	3.025	673
29.7	3.008	620
30.7	2.914	1000
30.8	2.902	816
31.6	2.834	376
32.7	2.740	464

Crystal structure
```
data_La6NdSmTm2
_chemical_formula_sum 'La24 Nd4 Sm4 Tm8'
_symmetry_space_group_name_H-M 'C 1 2/c 1'
_symmetry_Int_Tables_number 15
_symmetry_space_group_name_Hall '-C 2yc'
_cell_length_a 9.378
_cell_length_b 15.369
_cell_length_c 9.924
_cell_angle_alpha 90.00
_cell_angle_beta 98.87
_cell_angle_gamma 90.00
loop_
_atom_site_label
_atom_site_fract_x
_atom_site_fract_y
_atom_site_fract_z
La1 0.070 0.174 0.446
La2 0.097 0.395 0.622
La3 0.214 0.223 0.812
Nd1 0.000 0.407 0.250
Sm1 0.000 0.028 0.750
Tm1 0.241 0.046 0.048
```

=====

6.
The following is a simulated PXRD pattern of LaNdSmTm. It was derived from DFT lattice parameters and positions (PBE), using a wavelength of 1.5418 Å.
No peak broadening, texture or thermal motion is included.

Peak list (8 most intense, 2θ = 15–90°, by angle)
two_theta	d [Å]	I (rel.)
29.3	3.052	382
30.3	2.952	332
32.1	2.786	1000
36.5	2.464	219
50.0	1.824	251
55.0	1.670	214
59.6	1.552	292
60.7	1.526	162

Crystal structure
```
data_LaNdSmTm
_chemical_formula_sum 'La1 Nd1 Sm1 Tm1'
_symmetry_space_group_name_H-M 'P 3 m 1'
_symmetry_Int_Tables_number 156
_symmetry_space_group_name_Hall 'P 3 -2"'
_cell_length_a 3.6482
_cell_length_b 3.6482
_cell_length_c 11.8065
_cell_angle_alpha 90.00
_cell_angle_beta 90.00
_cell_angle_gamma 120.00
loop_
_atom_site_label
_atom_site_fract_x
_atom_site_fract_y
_atom_site_fract_z
La1 0.0000 0.0000 0.0000
Nd1 0.6667 0.3333 0.7398
Sm1 0.3333 0.6667 0.4898
Tm1 0.6667 0.3333 0.2497
```

=====

7.
The following is a simulated PXRD pattern of LaNd6Sm2Tm. It was derived from DFT lattice parameters and positions (PBE), using a wavelength of 1.5418 Å.
No peak broadening, texture or thermal motion is included.

Peak list (8 most intense, 2θ = 15–90°, by angle)
two_theta	d [Å]	I (rel.)
27.4	3.255	170
27.9	3.203	353
29.8	2.993	948
30.6	2.922	1000
30.8	2.899	366
31.6	2.833	172
33.0	2.713	428
33.7	2.660	133

Crystal structure
```
data_LaNd6Sm2Tm
_chemical_formula_sum 'La4 Nd24 Sm8 Tm4'
_symmetry_space_group_name_H-M 'C 1 2/c 1'
_symmetry_Int_Tables_number 15
_symmetry_space_group_name_Hall '-C 2yc'
_cell_length_a 9.319
_cell_length_b 15.412
_cell_length_c 9.824
_cell_angle_alpha 90.00
_cell_angle_beta 97.38
_cell_angle_gamma 90.00
loop_
_atom_site_label
_atom_site_fract_x
_atom_site_fract_y
_atom_site_fract_z
La1 0.000 0.023 0.250
Nd1 0.064 0.185 0.945
Nd2 0.099 0.394 0.118
Nd3 0.211 0.223 0.313
Sm1 0.250 0.050 0.546
Tm1 0.000 0.410 0.750
```

=====

8.
The following is a simulated PXRD pattern of La2Nd2SmY6. It was derived from DFT lattice parameters and positions (PBE), using a wavelength of 1.5418 Å.
No peak broadening, texture or thermal motion is included.

Peak list (8 most intense, 2θ = 15–90°, by angle)
two_theta	d [Å]	I (rel.)
30.5	2.933	738
31.0	2.882	440
31.7	2.819	1000
33.7	2.662	176
44.1	2.055	232
55.7	1.652	208
61.4	1.510	244
62.2	1.493	187

Crystal structure
```
data_La2Nd2SmY6
_chemical_formula_sum 'La4 Nd4 Sm2 Y12'
_symmetry_space_group_name_H-M 'C m m m'
_symmetry_Int_Tables_number 65
_symmetry_space_group_name_Hall '-C 2 2'
_cell_length_a 5.765
_cell_length_b 12.198
_cell_length_c 10.647
_cell_angle_alpha 90.00
_cell_angle_beta 90.00
_cell_angle_gamma 90.00
loop_
_atom_site_label
_atom_site_fract_x
_atom_site_fract_y
_atom_site_fract_z
La1 0.000 0.212 0.000
Nd1 0.000 0.129 0.500
Sm1 0.000 0.500 0.000
Y1 0.000 0.000 0.204
Y2 0.000 0.350 0.301
```

=====

9.
The following is a simulated PXRD pattern of La8Nd5Sn. It was derived from DFT lattice parameters and positions (PBE), using a wavelength of 1.5418 Å.
No peak broadening, texture or thermal motion is included.

Peak list (8 most intense, 2θ = 15–90°, by angle)
two_theta	d [Å]	I (rel.)
29.1	3.068	344
30.0	2.982	619
30.0	2.975	299
30.4	2.943	1000
31.0	2.881	409
31.3	2.862	315
32.1	2.790	284
33.2	2.702	514

Crystal structure
```
data_La8Nd5Sn
_chemical_formula_sum 'La16 Nd10 Sn2'
_symmetry_space_group_name_H-M 'C 1 2 1'
_symmetry_Int_Tables_number 5
_symmetry_space_group_name_Hall 'C 2y'
_cell_length_a 16.216
_cell_length_b 8.272
_cell_length_c 9.152
_cell_angle_alpha 90.00
_cell_angle_beta 124.21
_cell_angle_gamma 90.00
loop_
_atom_site_label
_atom_site_fract_x
_atom_site_fract_y
_atom_site_fract_z
La1 0.130 0.000 0.213
La2 0.139 0.646 0.614
La3 0.179 0.266 0.916
La4 0.218 0.536 0.294
Nd1 0.000 0.977 0.500
Nd2 0.039 0.697 0.855
Nd3 0.074 0.311 0.406
Sn1 0.000 0.348 0.000
```

=====

10.
The following is a simulated PXRD pattern of LaNd4Sn15. It was derived from DFT lattice parameters and positions (PBE), using a wavelength of 1.5418 Å.
No peak broadening, texture or thermal motion is included.

Peak list (8 most intense, 2θ = 15–90°, by angle)
two_theta	d [Å]	I (rel.)
32.4	2.761	1000
36.7	2.449	180
38.1	2.363	326
53.9	1.701	243
63.4	1.467	151
65.3	1.429	277
67.9	1.380	124
88.7	1.102	130

Crystal structure
```
data_LaNd4Sn15
_chemical_formula_sum 'La1 Nd4 Sn15'
_symmetry_space_group_name_H-M 'P 4/m m m'
_symmetry_Int_Tables_number 123
_symmetry_space_group_name_Hall '-P 4 2'
_cell_length_a 4.726
_cell_length_b 4.726
_cell_length_c 24.494
_cell_angle_alpha 90.00
_cell_angle_beta 90.00
_cell_angle_gamma 90.00
loop_
_atom_site_label
_atom_site_fract_x
_atom_site_fract_y
_atom_site_fract_z
La1 0.000 0.000 0.000
Nd1 0.000 0.000 0.200
Nd2 0.000 0.000 0.400
Sn1 0.000 0.500 0.101
Sn2 0.000 0.500 0.300
Sn3 0.000 0.500 0.500
Sn4 0.500 0.500 0.000
Sn5 0.500 0.500 0.201
Sn6 0.500 0.500 0.400
```

=====

11.
The following is a simulated PXRD pattern of La2Nd2Sn3. It was derived from DFT lattice parameters and positions (PBE), using a wavelength of 1.5418 Å.
No peak broadening, texture or thermal motion is included.

Peak list (8 most intense, 2θ = 15–90°, by angle)
two_theta	d [Å]	I (rel.)
22.9	3.886	78
32.6	2.749	1000
32.7	2.742	209
46.7	1.944	142
46.8	1.940	71
58.1	1.588	181
58.2	1.586	172
58.3	1.584	78

Crystal structure
```
data_La2Nd2Sn3
_chemical_formula_sum 'La2 Nd2 Sn3'
_symmetry_space_group_name_H-M 'P -1'
_symmetry_Int_Tables_number 2
_symmetry_space_group_name_Hall '-P 1'
_cell_length_a 5.484
_cell_length_b 5.497
_cell_length_c 9.515
_cell_angle_alpha 73.32
_cell_angle_beta 73.31
_cell_angle_gamma 60.16
loop_
_atom_site_label
_atom_site_fract_x
_atom_site_fract_y
_atom_site_fract_z
La1 0.127 0.126 0.121
Nd1 0.380 0.378 0.363
Sn1 0.260 0.262 0.718
Sn2 0.500 0.500 0.000
```

=====

12.
The following is a simulated PXRD pattern of La5Nd5Sn6. It was derived from DFT lattice parameters and positions (PBE), using a wavelength of 1.5418 Å.
No peak broadening, texture or thermal motion is included.

Peak list (8 most intense, 2θ = 15–90°, by angle)
two_theta	d [Å]	I (rel.)
25.8	3.455	192
28.0	3.182	178
29.0	3.084	297
31.8	2.816	1000
32.1	2.786	783
32.9	2.720	429
46.7	1.946	200
49.4	1.845	294

Crystal structure
```
data_La5Nd5Sn6
_chemical_formula_sum 'La10 Nd10 Sn12'
_symmetry_space_group_name_H-M 'A m m 2'
_symmetry_Int_Tables_number 38
_symmetry_space_group_name_Hall 'A 2 -2'
_cell_length_a 6.910
_cell_length_b 16.338
_cell_length_c 9.410
_cell_angle_alpha 90.00
_cell_angle_beta 90.00
_cell_angle_gamma 90.00
loop_
_atom_site_label
_atom_site_fract_x
_atom_site_fract_y
_atom_site_fract_z
La1 0.000 0.000 0.000
La2 0.252 0.166 0.259
Nd1 0.000 0.122 0.637
Nd2 0.500 0.000 0.517
Nd3 0.500 0.122 0.880
Sn1 0.000 0.000 0.370
Sn2 0.000 0.197 0.954
Sn3 0.500 0.000 0.148
Sn4 0.500 0.195 0.563
```

=====

13.
The following is a simulated PXRD pattern of La6Nd2Sn. It was derived from DFT lattice parameters and positions (PBE), using a wavelength of 1.5418 Å.
No peak broadening, texture or thermal motion is included.

Peak list (8 most intense, 2θ = 15–90°, by angle)
two_theta	d [Å]	I (rel.)
29.9	2.993	1000
30.2	2.960	937
34.3	2.611	342
34.5	2.602	316
35.6	2.523	316
50.3	1.813	448
58.6	1.576	150
60.4	1.532	136

Crystal structure
```
data_La6Nd2Sn
_chemical_formula_sum 'La12 Nd4 Sn2'
_symmetry_space_group_name_H-M 'C 1 2/m 1'
_symmetry_Int_Tables_number 12
_symmetry_space_group_name_Hall '-C 2y'
_cell_length_a 11.592
_cell_length_b 5.046
_cell_length_c 11.153
_cell_angle_alpha 90.00
_cell_angle_beta 108.90
_cell_angle_gamma 90.00
loop_
_atom_site_label
_atom_site_fract_x
_atom_site_fract_y
_atom_site_fract_z
La1 0.010 0.000 0.176
La2 0.166 0.500 0.051
La3 0.181 0.500 0.397
Nd1 0.151 0.500 0.710
Sn1 0.000 0.000 0.500
```